Starting from DFT lattice parameters and positions (GGA-PBE), the powder X-ray diffraction pattern of LuMgTiS4 was computed for Cu Kα (λ = 1.5418 Å).

Most intense lines, 10° ≤ 2θ ≤ 80°, low angle first:
2theta  Rel. int.
14.53  100
16.59  22
23.98  15
27.43  66
27.78  34
33.56  87
36.45  20
44.36  20
47.29  14
48.18  52

Cell and atoms:
a = 7.557 Å, b = 7.557 Å, c = 7.557 Å
α = 121.19°, β = 118.84°, γ = 89.99°
Fractional coordinates of all 14 atoms:
Lu: 0.000 0.000 0.000
Lu: 0.500 0.000 0.500
Mg: 0.377 0.627 0.750
Mg: 0.623 0.373 0.250
Ti: 0.000 0.000 0.500
Ti: 0.000 0.500 0.000
S: 0.226 0.250 0.976
S: 0.226 0.750 0.476
S: 0.234 0.229 0.495
S: 0.234 0.739 0.005
S: 0.766 0.261 0.995
S: 0.766 0.771 0.505
S: 0.774 0.250 0.524
S: 0.774 0.750 0.024